1.
Computed powder diffractogram
Compound: TaTi3Ga3
Radiation: Cu Kα X-rays
Structure: DFT lattice parameters and positions (PBE)
Intensities are scaled so that the largest is 100.

Crystal structure
Lattice parameters (Å, degrees): 7.591 7.591 4.575 90.00 90.00 120.00
Fractional coordinates of all 14 atoms:
1 Ta 0.333 0.667 0.250
2 Ta 0.667 0.333 0.750
3 Ti 0.020 0.236 0.250
4 Ti 0.216 0.980 0.250
5 Ti 0.236 0.216 0.750
6 Ti 0.764 0.784 0.250
7 Ti 0.784 0.020 0.750
8 Ti 0.980 0.764 0.750
9 Ga 0.081 0.457 0.750
10 Ga 0.377 0.919 0.750
11 Ga 0.457 0.377 0.250
12 Ga 0.543 0.623 0.750
13 Ga 0.623 0.081 0.250
14 Ga 0.919 0.543 0.250

The 10 most intense peaks (2θ = 10–90°), in order of falling intensity:
- 41.35°, rel. 100.0
- 39.39°, rel. 26.4
- 13.47°, rel. 25.5
- 36.15°, rel. 24.1
- 33.57°, rel. 21.0
- 78.74°, rel. 18.9
- 72.76°, rel. 17.9
- 23.69°, rel. 17.0
- 65.01°, rel. 16.5
- 54.53°, rel. 14.2

2.
Computed powder diffractogram
Compound: TbHo6In2
Radiation: Cu Kα X-rays
Structure: DFT lattice parameters and positions (PBE)
Intensities are scaled so that the largest is 100.

Crystal structure
Lattice parameters (Å, degrees): 6.599 6.599 11.882 107.30 107.30 32.75
Fractional coordinates of all 9 atoms:
1 Tb 0.000 0.000 0.000
2 Ho 0.015 0.015 0.343
3 Ho 0.310 0.310 0.416
4 Ho 0.316 0.316 0.124
5 Ho 0.684 0.684 0.876
6 Ho 0.690 0.690 0.584
7 Ho 0.985 0.985 0.657
8 In 0.356 0.356 0.792
9 In 0.644 0.644 0.208

The 10 most intense peaks (2θ = 10–90°), in order of falling intensity:
- 33.03°, rel. 100.0
- 32.82°, rel. 90.4
- 31.69°, rel. 49.5
- 31.79°, rel. 48.5
- 59.53°, rel. 32.6
- 48.96°, rel. 16.7
- 57.56°, rel. 15.3
- 45.82°, rel. 15.1
- 57.17°, rel. 14.9
- 57.44°, rel. 13.0

3.
Computed powder diffractogram
Compound: InGa3Pt3
Radiation: Cu Kα X-rays
Structure: DFT lattice parameters and positions (PBE)
Intensities are scaled so that the largest is 100.

Crystal structure
Lattice parameters (Å, degrees): 7.792 7.792 7.792 90.00 90.00 90.00
Fractional coordinates of all 28 atoms:
1 In 0.057 0.443 0.557
2 In 0.443 0.557 0.057
3 In 0.557 0.057 0.443
4 In 0.943 0.943 0.943
5 Ga 0.123 0.623 0.877
6 Ga 0.164 0.164 0.164
7 Ga 0.199 0.801 0.301
8 Ga 0.301 0.199 0.801
9 Ga 0.336 0.836 0.664
10 Ga 0.377 0.377 0.377
11 Ga 0.623 0.877 0.123
12 Ga 0.664 0.336 0.836
13 Ga 0.699 0.699 0.699
14 Ga 0.801 0.301 0.199
15 Ga 0.836 0.664 0.336
16 Ga 0.877 0.123 0.623
17 Pt 0.004 0.798 0.602
18 Pt 0.102 0.496 0.202
19 Pt 0.202 0.102 0.496
20 Pt 0.298 0.898 0.996
21 Pt 0.398 0.504 0.702
22 Pt 0.496 0.202 0.102
23 Pt 0.504 0.702 0.398
24 Pt 0.602 0.004 0.798
25 Pt 0.702 0.398 0.504
26 Pt 0.798 0.602 0.004
27 Pt 0.898 0.996 0.298
28 Pt 0.996 0.298 0.898

The 10 most intense peaks (2θ = 10–90°), in order of falling intensity:
- 36.46°, rel. 100.0
- 43.46°, rel. 64.6
- 28.05°, rel. 56.7
- 41.80°, rel. 42.6
- 78.62°, rel. 25.0
- 48.15°, rel. 22.1
- 52.52°, rel. 21.4
- 38.31°, rel. 19.4
- 71.65°, rel. 16.7
- 75.16°, rel. 16.6

4.
Computed powder diffractogram
Compound: NaMnB2
Radiation: Cu Kα X-rays
Structure: DFT lattice parameters and positions (PBE)
Intensities are scaled so that the largest is 100.

Crystal structure
Lattice parameters (Å, degrees): 7.478 7.478 7.478 149.09 149.09 44.28
Fractional coordinates of all 8 atoms:
1 Na 0.375 0.625 0.750
2 Na 0.625 0.375 0.250
3 Mn 0.125 0.875 0.250
4 Mn 0.875 0.125 0.750
5 B 0.000 0.000 0.000
6 B 0.000 0.000 0.500
7 B 0.000 0.500 0.000
8 B 0.500 0.000 0.500

The 10 most intense peaks (2θ = 10–90°), in order of falling intensity:
- 34.36°, rel. 100.0
- 23.22°, rel. 44.5
- 25.72°, rel. 32.7
- 51.15°, rel. 29.6
- 53.02°, rel. 26.3
- 45.52°, rel. 21.5
- 76.89°, rel. 15.3
- 72.41°, rel. 12.8
- 88.36°, rel. 10.3
- 72.29°, rel. 9.3

5.
Computed powder diffractogram
Compound: RbSe
Radiation: Cu Kα X-rays
Structure: DFT lattice parameters and positions (PBE)
Intensities are scaled so that the largest is 100.

Crystal structure
Lattice parameters (Å, degrees): 5.817 5.817 5.817 112.69 103.25 112.66
Fractional coordinates of all 4 atoms:
1 Rb 0.000 0.000 0.000
2 Rb 0.513 0.013 0.500
3 Se 0.330 0.500 0.830
4 Se 0.670 0.500 0.170

The 10 most intense peaks (2θ = 10–90°), in order of falling intensity:
- 27.66°, rel. 100.0
- 31.60°, rel. 84.9
- 51.46°, rel. 41.3
- 39.52°, rel. 37.6
- 18.44°, rel. 29.3
- 49.30°, rel. 18.1
- 64.63°, rel. 17.1
- 39.97°, rel. 16.8
- 54.66°, rel. 15.2
- 69.53°, rel. 14.7

Copy entry 2 word for word.
Computed powder diffractogram
Compound: TbHo6In2
Radiation: Cu Kα X-rays
Structure: DFT lattice parameters and positions (PBE)
Intensities are scaled so that the largest is 100.

Crystal structure
Lattice parameters (Å, degrees): 6.599 6.599 11.882 107.30 107.30 32.75
Fractional coordinates of all 9 atoms:
1 Tb 0.000 0.000 0.000
2 Ho 0.015 0.015 0.343
3 Ho 0.310 0.310 0.416
4 Ho 0.316 0.316 0.124
5 Ho 0.684 0.684 0.876
6 Ho 0.690 0.690 0.584
7 Ho 0.985 0.985 0.657
8 In 0.356 0.356 0.792
9 In 0.644 0.644 0.208

The 10 most intense peaks (2θ = 10–90°), in order of falling intensity:
- 33.03°, rel. 100.0
- 32.82°, rel. 90.4
- 31.69°, rel. 49.5
- 31.79°, rel. 48.5
- 59.53°, rel. 32.6
- 48.96°, rel. 16.7
- 57.56°, rel. 15.3
- 45.82°, rel. 15.1
- 57.17°, rel. 14.9
- 57.44°, rel. 13.0

Please write out number 5 again, unchanged.
Computed powder diffractogram
Compound: RbSe
Radiation: Cu Kα X-rays
Structure: DFT lattice parameters and positions (PBE)
Intensities are scaled so that the largest is 100.

Crystal structure
Lattice parameters (Å, degrees): 5.817 5.817 5.817 112.69 103.25 112.66
Fractional coordinates of all 4 atoms:
1 Rb 0.000 0.000 0.000
2 Rb 0.513 0.013 0.500
3 Se 0.330 0.500 0.830
4 Se 0.670 0.500 0.170

The 10 most intense peaks (2θ = 10–90°), in order of falling intensity:
- 27.66°, rel. 100.0
- 31.60°, rel. 84.9
- 51.46°, rel. 41.3
- 39.52°, rel. 37.6
- 18.44°, rel. 29.3
- 49.30°, rel. 18.1
- 64.63°, rel. 17.1
- 39.97°, rel. 16.8
- 54.66°, rel. 15.2
- 69.53°, rel. 14.7

Question: Number 4 is which compound?
Answer: NaMnB2